Entry 1:
The following is a computed powder X-ray diffraction pattern of CeNi4Te. It was derived from a PBE-relaxed structure, using Cu Kα X-rays.
Intensities are scaled so that the largest is 100.

Largest 10 diffraction maxima, in order of rising 2θ, 2θ = 10–90°:
d = 4.139 Å, rel. 5.8; d = 2.534 Å, rel. 55.0; d = 2.161 Å, rel. 100.0; d = 2.069 Å, rel. 19.7; d = 1.645 Å, rel. 1.6; d = 1.463 Å, rel. 19.8; d = 1.380 Å, rel. 30.0; d = 1.267 Å, rel. 22.7; d = 1.133 Å, rel. 8.7; d = 1.093 Å, rel. 10.8

Cell and atoms:
```
CeNi4Te
1.0
0.000 3.584 3.584
3.584 0.000 3.584
3.584 3.584 0.000
Ce Ni Te
1 4 1
Cartesian
0.000 0.000 0.000
4.482 2.687 2.687
2.687 4.482 2.687
2.687 2.687 4.482
4.482 4.482 4.482
1.792 1.792 1.792
```

---

Entry 2:
The following is a computed powder X-ray diffraction pattern of BaSrPtBr. It was derived from a PBE-relaxed structure, using Cu Kα X-rays.
Intensities are scaled so that the largest is 100.

Largest 10 diffraction maxima, in order of rising 2θ, 2θ = 10–90°:
d = 8.254 Å, rel. 40.8; d = 3.667 Å, rel. 35.4; d = 3.034 Å, rel. 100.0; d = 2.602 Å, rel. 27.5; d = 2.217 Å, rel. 45.6; d = 2.081 Å, rel. 26.3; d = 1.790 Å, rel. 21.5; d = 1.510 Å, rel. 15.8; d = 1.393 Å, rel. 18.9; d = 1.252 Å, rel. 10.3

Cell and atoms:
```
BaSrPtBr
1.0
2.217 1.280 8.254
-2.217 1.280 8.254
0.000 -2.560 8.254
Ba Sr Pt Br
1 1 1 1
Cartesian
0.000 0.000 0.000
0.000 0.000 4.793
0.000 0.000 14.702
0.000 0.000 19.078
```

---

Entry 3:
The following is a computed powder X-ray diffraction pattern of La2Te2F. It was derived from a PBE-relaxed structure, using Cu Kα X-rays.
Intensities are scaled so that the largest is 100.

Largest 10 diffraction maxima, in order of rising 2θ, 2θ = 10–90°:
d = 3.863 Å, rel. 58.6; d = 3.680 Å, rel. 56.5; d = 3.029 Å, rel. 81.6; d = 2.798 Å, rel. 100.0; d = 2.792 Å, rel. 56.6; d = 2.728 Å, rel. 78.2; d = 2.542 Å, rel. 50.1; d = 2.384 Å, rel. 57.2; d = 2.301 Å, rel. 57.2; d = 2.051 Å, rel. 39.7

Cell and atoms:
```
La2Te2F
1.0
2.051 -5.750 0.000
2.051 5.750 0.000
0.000 0.000 12.117
La Te F
4 4 2
Cartesian
2.051 5.208 6.059
2.051 3.191 8.960
2.051 -3.191 2.902
2.051 -5.208 0.000
2.051 5.009 2.928
2.051 1.957 5.456
2.051 -1.957 11.514
2.051 -5.009 8.987
2.051 1.577 1.374
2.051 -1.577 7.432
```

---

Entry 4:
The following is a computed powder X-ray diffraction pattern of NaAc8Ni4. It was derived from a PBE-relaxed structure, using Cu Kα X-rays.
Intensities are scaled so that the largest is 100.

Largest 10 diffraction maxima, in order of rising 2θ, 2θ = 10–90°:
d = 7.364 Å, rel. 13.3; d = 3.677 Å, rel. 13.3; d = 3.472 Å, rel. 24.0; d = 3.288 Å, rel. 100.0; d = 2.889 Å, rel. 15.2; d = 2.779 Å, rel. 14.7; d = 2.454 Å, rel. 20.2; d = 2.212 Å, rel. 11.8; d = 2.041 Å, rel. 29.4; d = 1.967 Å, rel. 12.5

Cell and atoms:
```
NaAc8Ni4
1.0
-7.364 7.364 2.212
7.364 -7.364 2.212
7.364 7.364 -2.212
Na Ac Ni
1 8 4
Cartesian
0.000 0.000 0.000
9.716 0.633 0.000
9.545 4.587 0.000
0.633 5.013 0.000
4.587 5.184 0.000
2.777 2.180 2.212
6.731 2.351 2.212
-2.180 2.777 2.212
-2.351 6.731 2.212
4.761 2.273 0.000
5.091 -2.603 2.212
2.273 9.968 0.000
2.603 5.091 2.212
```